(1)
For Nb4SiTe4, a cell relaxed with GGA-PBE gives the calculated powder diffractogram in this record (CuKα).

Structural model:
```
36
Lattice="11.032 0.000 0.000 0.000 19.087 0.000 0.000 0.000 4.875" Properties=species:S:1:pos:R:3 pbc="T T T"
Nb 0.693 2.221 0.000
Nb 1.085 17.029 2.437
Nb 2.064 1.086 2.437
Nb 2.227 18.397 0.000
Nb 3.288 8.854 0.000
Nb 3.452 10.629 2.437
Nb 4.431 7.485 2.437
Nb 4.823 11.765 0.000
Nb 6.209 7.322 0.000
Nb 6.601 11.602 2.437
Nb 7.580 8.458 2.437
Nb 7.743 10.233 0.000
Nb 8.804 0.690 0.000
Nb 8.968 18.001 2.437
Nb 9.947 2.058 2.437
Nb 10.339 16.866 0.000
Si 0.000 0.000 1.219
Si 0.000 0.000 3.656
Si 5.516 9.543 1.219
Si 5.516 9.543 3.656
Te 1.176 3.794 2.437
Te 1.716 8.362 2.437
Te 1.844 15.574 0.000
Te 1.993 11.398 0.000
Te 3.523 1.854 0.000
Te 3.672 6.030 0.000
Te 3.800 17.906 2.437
Te 4.340 13.337 2.437
Te 6.692 5.750 2.437
Te 7.232 1.181 2.437
Te 7.360 13.057 0.000
Te 7.509 17.233 0.000
Te 9.039 7.689 0.000
Te 9.188 3.513 0.000
Te 9.316 10.725 2.437
Te 9.856 15.293 2.437
```

Peak list (10 most intense, 2θ = 5–70°, sorted by position)
9.549 Å, intensity 100
5.513 Å, intensity 29
3.588 Å, intensity 28
3.258 Å, intensity 19
2.590 Å, intensity 26
2.437 Å, intensity 30
2.382 Å, intensity 15
2.328 Å, intensity 13
2.246 Å, intensity 29
2.185 Å, intensity 18

(2)
For La8C3Br4O, a cell relaxed with GGA-PBE gives the calculated powder diffractogram in this record (CuKα).

Structural model:
```
16
Lattice="6.702 -3.843 0.000 6.702 3.843 0.000 -4.485 0.000 7.605" Properties=species:S:1:pos:R:3 pbc="T T T"
La -0.006 0.000 5.193
La 3.344 1.923 5.190
La 2.224 0.000 2.389
La 5.575 1.923 2.415
La 3.344 -1.923 5.190
La 6.696 0.000 5.215
La 5.575 -1.923 2.415
La 8.926 0.000 2.412
C 1.109 1.921 3.802
C 1.109 -1.921 3.802
C 4.460 0.000 3.802
Br 0.000 0.000 0.000
Br 3.351 1.921 0.000
Br 3.351 -1.921 0.000
Br 6.702 0.000 0.000
O -2.243 0.000 3.802
```

Peak list (10 most intense, 2θ = 5–70°, sorted by position)
3.199 Å, intensity 23
2.882 Å, intensity 100
2.704 Å, intensity 16
2.690 Å, intensity 31
2.535 Å, intensity 24
2.332 Å, intensity 13
2.166 Å, intensity 13
1.931 Å, intensity 26
1.921 Å, intensity 13
1.553 Å, intensity 16